Structure and calculated X-ray diffraction stick pattern of Na2FePCO7 (DFT lattice parameters and positions (GGA+U); Cu Kα X-rays).

Crystal structure
```
Na2FePCO7
1.0
5.2641 0.0000 0.0000
0.0000 6.5768 0.0000
-0.2086 0.0000 9.0502
Na Fe P C O
4 2 2 2 14
direct
0.2374 0.0040 0.2737
0.2374 0.4960 0.2737
0.7626 0.5040 0.7263
0.7626 0.9960 0.7263
0.2143 0.2500 0.8572
0.7857 0.7500 0.1428
0.2828 0.7500 0.9274
0.7172 0.2500 0.0726
0.2732 0.2500 0.5814
0.7268 0.7500 0.4186
0.0484 0.2500 0.6410
0.1525 0.7500 0.0804
0.2036 0.5591 0.8385
0.2036 0.9409 0.8385
0.3101 0.2500 0.4451
0.4212 0.2500 0.0455
0.4611 0.2500 0.6815
0.5389 0.7500 0.3185
0.5788 0.7500 0.9545
0.6899 0.7500 0.5549
0.7964 0.0591 0.1615
0.7964 0.4409 0.1615
0.8475 0.2500 0.9196
0.9516 0.7500 0.3590
```

Most intense lines, 2θ = 10–90°, by angle:
- 16.7 deg, rel. 100, hkl 0 1 1
- 21.6 deg, rel. 42, hkl 1 1 0
- 23.9 deg, rel. 40, hkl 1 1 1
- 25.7 deg, rel. 89, hkl 1 0 -2
- 26.3 deg, rel. 36, hkl 1 0 2
- 27.1 deg, rel. 69, hkl 0 2 0
- 33.5 deg, rel. 45, hkl 1 2 -1
- 33.7 deg, rel. 88, hkl 0 2 2
- 34.1 deg, rel. 62, hkl 2 0 0
- 37.3 deg, rel. 34, hkl 1 1 3